Entry 1:
Diffraction record for BaGe3. The PXRD pattern is simulated, not measured: it uses a structure optimized by DFT (PBE) and Cu Kα (weighted mean of Kα1 and Kα2).

Most intense lines, 2θ from 10° to 90°, in order of rising 2θ:
- 22.58 deg, I 27.7, hkl 1 0 1
- 25.99 deg, I 13.9, hkl 1 1 0
- 30.10 deg, I 21.2, hkl 2 0 0
- 34.08 deg, I 31.2, hkl 0 0 2
- 34.69 deg, I 100.0, hkl 2 0 1
- 40.18 deg, I 17.8, hkl 2 1 0
- 49.18 deg, I 16.3, hkl 3 0 1
- 53.68 deg, I 15.1, hkl 2 1 2
- 58.75 deg, I 19.9, hkl 3 1 1
- 61.39 deg, I 18.7, hkl 2 0 3

Atomic structure:
Unit cell a=6.8567 b=6.8567 c=5.2619 alpha=90.00 beta=90.00 gamma=120.00
Space group P6_3/mmc (No. 194)
Symmetry-distinct sites (fractional):
Ba  0.3333  0.6667  0.2500 [2 per cell]
Ge  0.1267  0.2533  0.7500 [6 per cell]

Entry 2:
Diffraction record for NbRu. The PXRD pattern is simulated, not measured: it uses a structure optimized by DFT (PBE) and Cu Kα (weighted mean of Kα1 and Kα2).

Most intense lines, 2θ from 10° to 90°, in order of rising 2θ:
- 40.02 deg, I 100.0, hkl 1 1 0
- 57.88 deg, I 16.5, hkl 2 0 0
- 72.69 deg, I 32.9, hkl 2 1 1
- 86.36 deg, I 10.5, hkl 2 2 0

Atomic structure:
Unit cell a=3.1865 b=3.1865 c=3.1865 alpha=90.00 beta=90.00 gamma=90.00
Space group Pm-3m (No. 221)
Symmetry-distinct sites (fractional):
Nb  0.0000  0.0000  0.0000 [1 per cell]
Ru  0.5000  0.5000  0.5000 [1 per cell]

Entry 3:
Diffraction record for SmFeC2. The PXRD pattern is simulated, not measured: it uses a structure optimized by DFT (PBE) and Cu Kα (weighted mean of Kα1 and Kα2).

Most intense lines, 2θ from 10° to 90°, in order of rising 2θ:
- 24.58 deg, I 30.0, hkl 0 1 1
- 30.02 deg, I 19.7, hkl 0 0 2
- 34.13 deg, I 100.0, hkl 1 1 1
- 38.35 deg, I 23.5, hkl 1 0 2
- 39.50 deg, I 16.8, hkl 0 2 0
- 47.65 deg, I 12.4, hkl 2 0 0
- 50.13 deg, I 15.4, hkl 0 1 3
- 50.39 deg, I 13.0, hkl 0 2 2
- 56.22 deg, I 12.5, hkl 1 2 2
- 68.21 deg, I 12.6, hkl 1 3 1

Atomic structure:
Unit cell a=3.8171 b=4.5633 c=5.9530 alpha=90.00 beta=90.00 gamma=90.00
Space group Amm2 (No. 38)
Symmetry-distinct sites (fractional):
Sm  0.0000  0.0000  0.0000 [2 per cell]
Fe  0.5000  0.0000  0.6079 [2 per cell]
C  0.5000  0.1539  0.2930 [4 per cell]

Entry 4:
Diffraction record for Tm5Pt4. The PXRD pattern is simulated, not measured: it uses a structure optimized by DFT (PBE) and Cu Kα (weighted mean of Kα1 and Kα2).

Most intense lines, 2θ from 10° to 90°, in order of rising 2θ:
- 32.48 deg, I 100.0, hkl 1 3 2
- 32.68 deg, I 40.6, hkl 2 3 1
- 34.19 deg, I 64.7, hkl 2 0 2
- 34.46 deg, I 22.1, hkl 2 4 0
- 34.97 deg, I 29.0, hkl 1 5 1
- 36.56 deg, I 56.1, hkl 2 4 1
- 36.66 deg, I 31.7, hkl 0 6 0
- 38.61 deg, I 87.3, hkl 3 0 1
- 39.08 deg, I 27.2, hkl 3 1 1
- 49.51 deg, I 19.2, hkl 1 5 3

Atomic structure:
Unit cell a=7.3691 b=14.7066 c=7.4750 alpha=90.00 beta=90.00 gamma=90.00
Space group Pnma (No. 62)
Symmetry-distinct sites (fractional):
Tm  0.0288  0.0992  0.1742 [8 per cell]
Tm  0.1254  0.6185  0.3363 [8 per cell]
Tm  0.2088  0.2500  0.4950 [4 per cell]
Pt  0.0763  0.2500  0.8773 [4 per cell]
Pt  0.1594  0.7500  0.6417 [4 per cell]
Pt  0.2118  0.0443  0.5253 [8 per cell]

Entry 5:
Diffraction record for CeHgPd. The PXRD pattern is simulated, not measured: it uses a structure optimized by DFT (PBE) and Cu Kα (weighted mean of Kα1 and Kα2).

Most intense lines, 2θ from 10° to 90°, in order of rising 2θ:
- 32.34 deg, I 91.8, hkl 1 1 1
- 34.99 deg, I 100.0, hkl 2 0 1
- 39.84 deg, I 36.0, hkl 3 0 0
- 42.12 deg, I 25.3, hkl 2 1 1
- 46.42 deg, I 21.5, hkl 0 0 2
- 54.05 deg, I 11.9, hkl 4 0 0
- 59.40 deg, I 31.0, hkl 2 1 2
- 62.80 deg, I 21.4, hkl 3 0 2
- 64.40 deg, I 29.3, hkl 3 2 1
- 73.91 deg, I 14.8, hkl 5 0 1

Atomic structure:
Unit cell a=7.8375 b=7.8375 c=3.9112 alpha=90.00 beta=90.00 gamma=120.00
Space group P-62m (No. 189)
Symmetry-distinct sites (fractional):
Ce  0.0000  0.6003  0.0000 [3 per cell]
Hg  0.0000  0.2650  0.5000 [3 per cell]
Pd  0.0000  0.0000  0.0000 [1 per cell]
Pd  0.3333  0.6667  0.5000 [2 per cell]

Entry 6:
Diffraction record for TbSm. The PXRD pattern is simulated, not measured: it uses a structure optimized by DFT (PBE) and Cu Kα (weighted mean of Kα1 and Kα2).

Most intense lines, 2θ from 10° to 90°, in order of rising 2θ:
- 28.30 deg, I 23.4, hkl 1 0 0
- 30.52 deg, I 25.7, hkl 0 0 2
- 32.24 deg, I 100.0, hkl 1 0 1
- 42.11 deg, I 16.1, hkl 1 0 2
- 50.11 deg, I 19.4, hkl 1 1 0
- 55.34 deg, I 21.7, hkl 1 0 3
- 59.81 deg, I 22.8, hkl 1 1 2
- 60.84 deg, I 16.3, hkl 2 0 1
- 82.62 deg, I 13.8, hkl 2 1 1
- 85.00 deg, I 8.6, hkl 1 1 4

Atomic structure:
Unit cell a=3.6410 b=3.6410 c=5.8579 alpha=90.00 beta=90.00 gamma=120.00
Space group P-6m2 (No. 187)
Symmetry-distinct sites (fractional):
Tb  0.0000  0.0000  0.0000 [1 per cell]
Sm  0.3333  0.6667  0.5000 [1 per cell]

Entry 7:
Diffraction record for Sr3LaCuRuO8. The PXRD pattern is simulated, not measured: it uses a structure optimized by DFT (PBE) and Cu Kα (weighted mean of Kα1 and Kα2).

Most intense lines, 2θ from 10° to 90°, in order of rising 2θ:
- 13.97 deg, I 25.3, hkl 2 0 0
- 30.93 deg, I 100.0, hkl 3 1 -1
- 31.11 deg, I 92.0, hkl 3 1 1
- 31.99 deg, I 66.4, hkl 0 0 2
- 32.20 deg, I 66.1, hkl 0 2 0
- 42.81 deg, I 26.5, hkl 6 0 0
- 46.03 deg, I 70.1, hkl 0 2 2
- 54.59 deg, I 22.4, hkl 6 2 0
- 56.60 deg, I 34.4, hkl 3 3 -1
- 64.45 deg, I 26.0, hkl 6 2 -2

Atomic structure:
Unit cell a=12.6759 b=5.5595 c=5.5953 alpha=90.00 beta=90.45 gamma=90.00
Space group Cm (No. 8)
Symmetry-distinct sites (fractional):
Sr  0.0000  0.0000  0.0000 [2 per cell]
Sr  0.0017  0.5000  0.5080 [2 per cell]
Sr  0.2155  0.5000  0.0171 [2 per cell]
La  0.2158  0.0000  0.5212 [2 per cell]
Cu  0.3632  0.5000  0.5078 [2 per cell]
Ru  0.3622  0.0000  0.0087 [2 per cell]
O  0.0178  0.5000  0.0138 [2 per cell]
O  0.0343  0.0000  0.5233 [2 per cell]
O  0.1890  0.5000  0.5007 [2 per cell]
O  0.1953  0.0000  0.9898 [2 per cell]
O  0.3512  0.2425  0.2584 [4 per cell]
O  0.3532  0.2456  0.7604 [4 per cell]

Entry 8:
Diffraction record for YMn2. The PXRD pattern is simulated, not measured: it uses a structure optimized by DFT (PBE) and Cu Kα (weighted mean of Kα1 and Kα2).

Most intense lines, 2θ from 10° to 90°, in order of rising 2θ:
- 23.86 deg, I 27.6, hkl 1 1 1
- 27.62 deg, I 26.7, hkl 2 0 0
- 39.45 deg, I 100.0, hkl 2 2 0
- 46.63 deg, I 12.8, hkl 3 1 1
- 48.83 deg, I 7.1, hkl 2 2 2
- 57.02 deg, I 15.9, hkl 4 0 0
- 62.68 deg, I 5.1, hkl 3 3 1
- 64.51 deg, I 9.0, hkl 4 2 0
- 71.55 deg, I 30.8, hkl 4 2 2
- 84.91 deg, I 9.5, hkl 4 4 0

Atomic structure:
Unit cell a=6.4603 b=6.4603 c=6.4603 alpha=90.00 beta=90.00 gamma=90.00
Space group F-43m (No. 216)
Symmetry-distinct sites (fractional):
Y  0.0000  0.0000  0.0000 [4 per cell]
Mn  0.0000  0.0000  0.5000 [4 per cell]
Mn  0.2500  0.2500  0.7500 [4 per cell]

Entry 9:
Diffraction record for SmCd3. The PXRD pattern is simulated, not measured: it uses a structure optimized by DFT (PBE) and Cu Kα (weighted mean of Kα1 and Kα2).

Most intense lines, 2θ from 10° to 90°, in order of rising 2θ:
- 30.52 deg, I 25.0, hkl 2 0 0
- 35.47 deg, I 100.0, hkl 2 0 1
- 35.73 deg, I 22.0, hkl 0 0 2
- 47.68 deg, I 14.2, hkl 2 0 2
- 54.25 deg, I 18.8, hkl 2 2 0
- 64.02 deg, I 17.1, hkl 2 0 3
- 66.50 deg, I 14.8, hkl 4 0 1
- 66.66 deg, I 19.8, hkl 2 2 2
- 75.07 deg, I 3.5, hkl 4 0 2
- 88.72 deg, I 7.0, hkl 4 0 3

Atomic structure:
Unit cell a=6.7638 b=6.7638 c=5.0266 alpha=90.00 beta=90.00 gamma=120.00
Space group P6_3/mmc (No. 194)
Symmetry-distinct sites (fractional):
Sm  0.3333  0.6667  0.2500 [2 per cell]
Cd  0.1608  0.3215  0.7500 [6 per cell]

Entry 10:
Diffraction record for TiCl3. The PXRD pattern is simulated, not measured: it uses a structure optimized by DFT (PBE) and Cu Kα (weighted mean of Kα1 and Kα2).

Most intense lines, 2θ from 10° to 90°, in order of rising 2θ:
- 14.05 deg, I 64.3, hkl 0 0 3
- 17.39 deg, I 24.7, hkl 1 0 1
- 19.21 deg, I 16.6, hkl 0 1 2
- 32.55 deg, I 100.0, hkl 1 1 3
- 41.14 deg, I 52.5, hkl 1 1 6
- 51.80 deg, I 28.0, hkl 3 0 0
- 52.87 deg, I 25.7, hkl 2 -1 9
- 62.53 deg, I 11.2, hkl 4 -2 3
- 68.19 deg, I 10.3, hkl 4 -2 6
- 81.96 deg, I 10.1, hkl 3 0 12

Atomic structure:
Unit cell a=6.1138 b=6.1138 c=18.9103 alpha=90.00 beta=90.00 gamma=120.00
Space group R-3 (No. 148, hexagonal axes)
Symmetry-distinct sites (fractional):
Ti  0.0000  0.0000  0.1666 [6 per cell]
Cl  0.0002  0.3530  0.4256 [18 per cell]

Entry 11:
Diffraction record for CeSe2. The PXRD pattern is simulated, not measured: it uses a structure optimized by DFT (PBE) and Cu Kα (weighted mean of Kα1 and Kα2).

Most intense lines, 2θ from 10° to 90°, in order of rising 2θ:
- 11.89 deg, I 100.0, hkl 1 0 0
- 14.42 deg, I 25.2, hkl 1 1 1
- 15.05 deg, I 34.1, hkl 1 0 -1
- 15.37 deg, I 40.2, hkl 1 0 1
- 16.76 deg, I 83.9, hkl 1 1 -1
- 19.83 deg, I 38.0, hkl 1 -1 0
- 21.09 deg, I 61.2, hkl 1 2 1
- 23.19 deg, I 35.8, hkl 0 2 1
- 25.35 deg, I 31.7, hkl 2 2 1
- 43.00 deg, I 29.6, hkl 3 1 3

Atomic structure:
Unit cell a=8.2842 b=8.7542 c=9.5465 alpha=78.54 beta=86.07 gamma=64.02
Space group P1 (No. 1)
Symmetry-distinct sites (fractional):
Ce  0.0000  0.0000  0.0000 [1 per cell]
Ce  0.0405  0.3060  0.3031 [1 per cell]
Ce  0.1025  0.5141  0.8215 [1 per cell]
Ce  0.4421  0.7270  0.4046 [1 per cell]
Se  0.2472  0.3819  0.0900 [1 per cell]
Se  0.2992  0.0415  0.4805 [1 per cell]
Se  0.3218  0.7778  0.1333 [1 per cell]
Se  0.3431  0.5231  0.6121 [1 per cell]
Se  0.8095  0.5946  0.4070 [1 per cell]
Se  0.8308  0.1755  0.2119 [1 per cell]
Se  0.8602  0.8315  0.8690 [1 per cell]
Se  0.9910  0.2708  0.7967 [1 per cell]

Entry 12:
Diffraction record for Dy. The PXRD pattern is simulated, not measured: it uses a structure optimized by DFT (PBE) and Cu Kα (weighted mean of Kα1 and Kα2).

Most intense lines, 2θ from 10° to 90°, in order of rising 2θ:
- 28.42 deg, I 23.9, hkl 1 0 0
- 31.87 deg, I 23.7, hkl 0 0 2
- 32.67 deg, I 100.0, hkl 1 0 1
- 43.22 deg, I 15.5, hkl 1 0 2
- 50.32 deg, I 19.9, hkl 1 1 0
- 57.29 deg, I 20.3, hkl 1 0 3
- 60.80 deg, I 22.6, hkl 1 1 2
- 61.29 deg, I 16.6, hkl 2 0 1
- 83.17 deg, I 14.1, hkl 2 1 1
- 87.96 deg, I 8.4, hkl 1 1 4

Atomic structure:
Unit cell a=3.6267 b=3.6267 c=5.6164 alpha=90.00 beta=90.00 gamma=120.00
Space group P6_3/mmc (No. 194)
Symmetry-distinct sites (fractional):
Dy  0.3333  0.6667  0.2500 [2 per cell]

Entry 13:
Diffraction record for PuI2. The PXRD pattern is simulated, not measured: it uses a structure optimized by DFT (PBE) and Cu Kα (weighted mean of Kα1 and Kα2).

Most intense lines, 2θ from 10° to 90°, in order of rising 2θ:
- 16.09 deg, I 98.7, hkl 1 1 0
- 22.54 deg, I 37.1, hkl 1 0 1
- 25.30 deg, I 59.1, hkl 1 1 1
- 25.56 deg, I 18.1, hkl 2 1 0
- 32.29 deg, I 100.0, hkl 2 1 1
- 32.50 deg, I 48.7, hkl 2 2 0
- 39.39 deg, I 20.0, hkl 0 0 2
- 39.91 deg, I 58.7, hkl 3 0 1
- 51.96 deg, I 26.2, hkl 2 2 2
- 67.94 deg, I 27.2, hkl 5 2 1

Atomic structure:
Unit cell a=7.7922 b=7.7922 c=4.5750 alpha=90.00 beta=90.00 gamma=90.00
Space group P4_2/mnm (No. 136)
Symmetry-distinct sites (fractional):
Pu  0.0000  0.0000  0.0000 [2 per cell]
I  0.2048  0.2048  0.5000 [4 per cell]

Entry 14:
Diffraction record for LuF3. The PXRD pattern is simulated, not measured: it uses a structure optimized by DFT (PBE) and Cu Kα (weighted mean of Kα1 and Kα2).

Most intense lines, 2θ from 10° to 90°, in order of rising 2θ:
- 28.21 deg, I 100.0, hkl 1 1 1
- 32.69 deg, I 51.6, hkl 2 0 0
- 46.91 deg, I 84.5, hkl 2 2 0
- 55.64 deg, I 48.2, hkl 3 1 1
- 58.35 deg, I 14.0, hkl 2 2 2
- 68.51 deg, I 12.7, hkl 4 0 0
- 75.67 deg, I 20.2, hkl 3 3 1
- 78.00 deg, I 18.7, hkl 4 2 0
- 87.16 deg, I 26.2, hkl 4 2 2

Atomic structure:
Unit cell a=5.4783 b=5.4783 c=5.4783 alpha=90.00 beta=90.00 gamma=90.00
Space group Fm-3m (No. 225)
Symmetry-distinct sites (fractional):
Lu  0.0000  0.0000  0.0000 [4 per cell]
F  0.0000  0.0000  0.5000 [4 per cell]
F  0.2500  0.2500  0.2500 [8 per cell]